Diffraction record for K2Cr2O7. The X-ray diffraction stick pattern is calculated, not measured: it uses DFT lattice parameters and positions (PBE+U) and Cu Kα, 1.54184 Å.
Intensities are scaled so that the largest is 100.

Structure:
Cell: 7.5904 7.6462 13.6644 Å, 95.22 97.50 90.93°
Element x y z (fractional)
K 0.1057 0.1645 0.1387
K 0.2544 0.2586 0.8489
K 0.3107 0.8479 0.6364
K 0.3391 0.5857 0.3405
K 0.6609 0.4143 0.6595
K 0.6893 0.1521 0.3636
K 0.7456 0.7414 0.1511
K 0.8943 0.8355 0.8613
Cr 0.1826 0.0783 0.3867
Cr 0.1882 0.3468 0.5831
Cr 0.2064 0.6903 0.0865
Cr 0.4054 0.7280 0.8929
Cr 0.5946 0.2720 0.1071
Cr 0.7936 0.3097 0.9135
Cr 0.8118 0.6532 0.4169
Cr 0.8174 0.9217 0.6133
O 0.0221 0.9953 0.3031
O 0.0381 0.4316 0.6463
O 0.0415 0.8215 0.0589
O 0.0806 0.2087 0.4778
O 0.1342 0.5252 0.1396
O 0.2823 0.8858 0.8503
O 0.2898 0.6099 0.9743
O 0.2970 0.9234 0.4375
O 0.3072 0.5024 0.5456
O 0.3134 0.2043 0.3345
O 0.3214 0.2262 0.6517
O 0.3626 0.7986 0.1620
O 0.4060 0.1927 0.0477
O 0.4391 0.5875 0.8001
O 0.5609 0.4125 0.1999
O 0.5940 0.8073 0.9523
O 0.6374 0.2014 0.8380
O 0.6786 0.7738 0.3483
O 0.6866 0.7957 0.6655
O 0.6928 0.4976 0.4544
O 0.7030 0.0766 0.5625
O 0.7102 0.3901 0.0257
O 0.7177 0.1142 0.1497
O 0.8658 0.4748 0.8604
O 0.9194 0.7913 0.5222
O 0.9585 0.1785 0.9411
O 0.9619 0.5684 0.3537
O 0.9779 0.0047 0.6969

Peak list (10 most intense, 2θ from 10° to 90°, by intensity)
2θ 26.4, d 3.370, I 100, hkl 0 0 4
2θ 24.9, d 3.576, I 69, hkl 0 2 1
2θ 23.7, d 3.758, I 54, hkl 2 0 0
2θ 26.1, d 3.413, I 35, hkl 2 -1 0
2θ 28.3, d 3.149, I 34, hkl -2 1 2
2θ 17.8, d 4.986, I 33, hkl 1 -1 1
2θ 30.3, d 2.952, I 30, hkl 2 -1 2
2θ 29.3, d 3.049, I 29, hkl 0 2 -3
2θ 25.8, d 3.456, I 18, hkl 0 2 -2
2θ 19.0, d 4.669, I 17, hkl 1 1 1